This entry pairs a crystal structure of Li4FeSi2O7 with its simulated powder XRD pattern. Radiation: copper Kα. Structure: DFT lattice parameters and positions (GGA+U).
Intensities are scaled so that the largest is 100.

Most intense lines, 10° ≤ 2θ ≤ 90°, low angle first:
2θ (°)  I_rel  (hkl)
13.3  40.0  2 0 0
20.4  100.0  1 1 -1
21.9  70.5  0 0 2
26.7  46.9  4 0 0
32.7  38.5  0 2 0
33.0  74.4  3 1 -2
36.3  58.7  4 0 2
58.5  38.5  3 3 -2

Atomic structure:
abc: 13.3893 5.4777 8.1310
angles: 90.00 94.78 90.00
Space group Cc (No. 9)
Asymmetric unit:
Li 0.0000 0.1459 0.0000
Li 0.0696 0.3226 0.3535
Li 0.2003 0.3392 0.0705
Li 0.2737 0.1865 0.4239
Fe 0.4270 0.1638 0.1486
Si 0.1409 0.1723 0.7088
Si 0.3510 0.3315 0.7756
O 0.0537 0.3148 0.8060
O 0.1134 0.1132 0.1761
O 0.1664 0.3173 0.5433
O 0.2490 0.1866 0.8421
O 0.3217 0.3815 0.2389
O 0.3866 0.1903 0.6112
O 0.4405 0.3121 0.9251